# 1
The following is a theoretical powder diffractogram of LaPm2NdTm5. It was derived from a structure optimized by DFT (GGA-PBE), using a wavelength of 1.5418 Å.

Main lines, in order of rising 2θ (15° ≤ 2θ ≤ 90°):
2theta, d (Å), I (rel.), index
28.7, 3.109, 48, 2 1 3
29.0, 3.078, 50, 2 2 0
30.9, 2.894, 100, 2 0 4
32.5, 2.753, 14, 3 1 0
37.7, 2.386, 17, 3 2 1
43.2, 2.093, 20, 4 0 2
52.6, 1.739, 21, 4 2 4
56.1, 1.639, 14, 2 2 8

Cell and atoms:
```
data_LaPm2NdTm5
_chemical_formula_sum 'La4 Pm8 Nd4 Tm20'
_space_group_name_H-M_alt 'I 4/m c m'
_space_group_IT_number 140
_space_group_name_Hall '-I 4 2c'
_cell_length_a 8.705
_cell_length_b 8.705
_cell_length_c 15.494
_cell_angle_alpha 90.00
_cell_angle_beta 90.00
_cell_angle_gamma 90.00
loop_
_atom_site_label
_atom_site_type_symbol
_atom_site_fract_x
_atom_site_fract_y
_atom_site_fract_z
La1 La 0.000 0.000 0.250
Pm1 Pm 0.117 0.383 0.000
Nd1 Nd 0.000 0.500 0.250
Tm1 Tm 0.000 0.000 0.000
Tm2 Tm 0.208 0.292 0.365
```

=====

# 2
The following is a theoretical powder diffractogram of ErTeBr. It was derived from a structure optimized by DFT (GGA-PBE), using a wavelength of 1.5418 Å.

Main lines, in order of rising 2θ (15° ≤ 2θ ≤ 90°):
2theta, d (Å), I (rel.), index
26.8, 3.329, 44, 2 0 -1
27.7, 3.219, 100, 1 1 1
33.8, 2.655, 28, 2 0 -2
34.2, 2.624, 22, 1 1 -2
35.6, 2.524, 35, 1 1 2
42.5, 2.129, 19, 0 2 0
43.2, 2.093, 33, 3 1 0
44.2, 2.049, 47, 1 1 -3

Cell and atoms:
```
data_ErTeBr
_chemical_formula_sum 'Er2 Te2 Br2'
_space_group_name_H-M_alt 'P 1 2/m 1'
_space_group_IT_number 10
_space_group_name_Hall '-P 2y'
_cell_length_a 7.231
_cell_length_b 4.258
_cell_length_c 7.245
_cell_angle_alpha 90.00
_cell_angle_beta 94.40
_cell_angle_gamma 90.00
loop_
_atom_site_label
_atom_site_type_symbol
_atom_site_fract_x
_atom_site_fract_y
_atom_site_fract_z
Er1 Er 0.000 0.000 0.000
Er2 Er 0.500 0.500 0.000
Te1 Te 0.190 0.500 0.244
Br1 Br 0.324 0.000 0.781
```

=====

# 3
The following is a theoretical powder diffractogram of Ba3Al2Cu2F16. It was derived from a structure optimized by DFT (GGA-PBE), using a wavelength of 1.5418 Å.

Main lines, in order of rising 2θ (15° ≤ 2θ ≤ 90°):
2theta, d (Å), I (rel.), index
20.3, 4.368, 56, 1 1 0
23.9, 3.729, 70, 2 0 0
25.4, 3.510, 100, 1 1 -3
27.2, 3.277, 44, 1 1 3
27.5, 3.241, 41, 2 0 2
30.2, 2.960, 80, 2 1 1
33.2, 2.696, 39, 0 2 0
41.3, 2.185, 46, 1 2 -4

Cell and atoms:
```
data_Ba3Al2Cu2F16
_chemical_formula_sum 'Ba6 Al4 Cu4 F32'
_space_group_name_H-M_alt 'P 1 21 1'
_space_group_IT_number 4
_space_group_name_Hall 'P 2yb'
_cell_length_a 7.503
_cell_length_b 5.392
_cell_length_c 16.214
_cell_angle_alpha 90.00
_cell_angle_beta 96.86
_cell_angle_gamma 90.00
loop_
_atom_site_label
_atom_site_type_symbol
_atom_site_fract_x
_atom_site_fract_y
_atom_site_fract_z
Ba1 Ba 0.160 0.000 0.115
Ba2 Ba 0.253 0.925 0.530
Ba3 Ba 0.309 0.982 0.816
Al1 Al 0.080 0.418 0.659
Al2 Al 0.331 0.474 0.976
Cu1 Cu 0.216 0.451 0.305
Cu2 Cu 0.436 0.930 0.329
F1 F 0.038 0.615 0.366
F2 F 0.052 0.369 0.210
F3 F 0.057 0.368 0.767
F4 F 0.101 0.435 0.546
F5 F 0.135 0.073 0.364
F6 F 0.146 0.265 0.946
F7 F 0.185 0.740 0.959
F8 F 0.209 0.698 0.677
F9 F 0.288 0.231 0.670
F10 F 0.304 0.452 0.084
F11 F 0.369 0.753 0.230
F12 F 0.392 0.609 0.388
F13 F 0.397 0.494 0.873
F14 F 0.405 0.242 0.265
F15 F 0.472 0.180 0.990
F16 F 0.498 0.081 0.434
```

=====

# 4
The following is a theoretical powder diffractogram of Li2Ce3Ge3. It was derived from a structure optimized by DFT (GGA-PBE), using a wavelength of 1.5418 Å.

Main lines, in order of rising 2θ (15° ≤ 2θ ≤ 90°):
2theta, d (Å), I (rel.), index
20.5, 4.331, 100, 1 1 0
25.4, 3.507, 33, 1 1 1
29.9, 2.987, 61, 0 0 2
35.0, 2.562, 58, 2 1 1
35.9, 2.501, 85, 3 0 0
36.5, 2.459, 53, 1 1 2
47.4, 1.918, 71, 3 0 2
71.8, 1.314, 21, 5 1 1

Cell and atoms:
```
data_Li2Ce3Ge3
_chemical_formula_sum 'Li4 Ce6 Ge6'
_space_group_name_H-M_alt 'P 63/m c m'
_space_group_IT_number 193
_space_group_name_Hall '-P 6c 2'
_cell_length_a 8.6627
_cell_length_b 8.6627
_cell_length_c 5.9747
_cell_angle_alpha 90.00
_cell_angle_beta 90.00
_cell_angle_gamma 120.00
loop_
_atom_site_label
_atom_site_type_symbol
_atom_site_fract_x
_atom_site_fract_y
_atom_site_fract_z
Li1 Li 0.3333 0.6667 0.0000
Ce1 Ce 0.0000 0.2944 0.2500
Ge1 Ge 0.0000 0.3689 0.7500
```

=====

# 5
The following is a theoretical powder diffractogram of NaIn11Hg17. It was derived from a structure optimized by DFT (GGA-PBE), using a wavelength of 1.5418 Å.

Main lines, in order of rising 2θ (15° ≤ 2θ ≤ 90°):
2theta, d (Å), I (rel.), index
30.8, 2.899, 100, 0 3 1
31.8, 2.815, 91, 3 2 2
34.3, 2.617, 76, 2 1 -2
34.8, 2.575, 75, 1 -2 3
36.1, 2.488, 68, 1 1 4
38.7, 2.325, 52, 3 -1 1
39.8, 2.262, 50, 2 4 -1
50.4, 1.810, 24, 3 5 3

Cell and atoms:
```
data_NaIn11Hg17
_chemical_formula_sum 'Na1 In11 Hg17'
_space_group_name_H-M_alt 'P 1'
_space_group_IT_number 1
_space_group_name_Hall 'P 1'
_cell_length_a 8.791
_cell_length_b 10.150
_cell_length_c 10.183
_cell_angle_alpha 83.40
_cell_angle_beta 67.48
_cell_angle_gamma 66.28
loop_
_atom_site_label
_atom_site_type_symbol
_atom_site_fract_x
_atom_site_fract_y
_atom_site_fract_z
Na1 Na 0.000 0.000 0.000
In1 In 0.123 0.818 0.512
In2 In 0.158 0.358 0.859
In3 In 0.235 0.622 0.037
In4 In 0.265 0.194 0.383
In5 In 0.363 0.752 0.724
In6 In 0.423 0.271 0.058
In7 In 0.498 0.857 0.408
In8 In 0.526 0.137 0.577
In9 In 0.604 0.683 0.930
In10 In 0.748 0.792 0.612
In11 In 0.840 0.598 0.142
Hg1 Hg 0.028 0.258 0.170
Hg2 Hg 0.084 0.522 0.344
Hg3 Hg 0.139 0.100 0.692
Hg4 Hg 0.247 0.920 0.198
Hg5 Hg 0.302 0.471 0.551
Hg6 Hg 0.392 0.020 0.885
Hg7 Hg 0.458 0.570 0.242
Hg8 Hg 0.537 0.399 0.756
Hg9 Hg 0.634 0.942 0.096
Hg10 Hg 0.659 0.216 0.266
Hg11 Hg 0.682 0.513 0.454
Hg12 Hg 0.774 0.337 0.965
Hg13 Hg 0.778 0.054 0.787
Hg14 Hg 0.889 0.868 0.293
Hg15 Hg 0.892 0.170 0.481
Hg16 Hg 0.910 0.450 0.661
Hg17 Hg 0.990 0.712 0.832
```